# MnH2Cl2O
Theoretical X-ray diffraction stick pattern, Cu Kα X-rays. Input: DFT lattice parameters and positions (GGA+U).
Kinematic intensities with the Lorentz-polarization factor, no thermal factor.

Structural model:
a b c (Å): 9.1046 3.7565 11.7629
angles (deg): 90.00 90.00 90.00
Space group Pnma (No. 62)
Asymmetric unit:
Mn 0.1839 0.2500 0.0139 [4 per cell]
H 0.0473 0.7500 0.6402 [4 per cell]
H 0.1812 0.7500 0.7283 [4 per cell]
Cl 0.0419 0.7500 0.1217 [4 per cell]
Cl 0.1948 0.2500 0.4005 [4 per cell]
O 0.1549 0.7500 0.6473 [4 per cell]

Top 10 peaks for 2θ = 10–90°, in order of rising 2θ:
Position (°2θ), I (rel.), h k l
12.29, 80.9, 1 0 1
15.06, 100.0, 0 0 2
19.50, 23.6, 2 0 0
24.73, 31.2, 2 0 2
29.88, 55.8, 1 1 2
31.81, 34.5, 2 1 1
34.50, 71.0, 2 1 2
37.47, 42.8, 3 0 3
38.64, 32.5, 2 1 3
46.64, 68.8, 4 1 0